1.
For RhPbO4, a GGA-PBE-relaxed structure gives the calculated X-ray diffraction stick pattern in this record (a wavelength of 1.5418 Å).
Kinematic intensities with the Lorentz-polarization factor, no thermal factor.

Atomic structure:
a = 5.8728 Å, b = 4.8538 Å, c = 5.6603 Å
α = 90.00°, β = 109.36°, γ = 90.00°
Atoms (fractional coordinates):
Rh: 0.0000 0.0000 0.0000
Rh: 0.0000 0.5000 0.5000
Pb: 0.5000 0.0000 0.5000
Pb: 0.5000 0.5000 0.0000
O: 0.1203 0.1974 0.3311
O: 0.1203 0.3026 0.8311
O: 0.3402 0.6382 0.6190
O: 0.3402 0.8618 0.1190
O: 0.6598 0.1382 0.8810
O: 0.6598 0.3618 0.3810
O: 0.8797 0.6974 0.1689
O: 0.8797 0.8026 0.6689

Principal peaks in the range 10 to 90 degrees two-theta, by intensity:
| d_spacing | 2θ (°) | intensity |
| --- | --- | --- |
| 3.377 | 26.39 | 100.0 |
| 2.747 | 32.59 | 45.0 |
| 2.770 | 32.31 | 26.3 |
| 2.670 | 33.56 | 23.4 |
| 1.815 | 50.26 | 19.4 |
| 1.826 | 49.96 | 18.1 |

---

2.
For Sb3RhPb4O13, a GGA-PBE-relaxed structure gives the calculated X-ray diffraction stick pattern in this record (a wavelength of 1.5418 Å).
Kinematic intensities with the Lorentz-polarization factor, no thermal factor.

Atomic structure:
a = 7.4807 Å, b = 7.4807 Å, c = 7.4807 Å
α = 60.88°, β = 60.88°, γ = 60.88°
Atoms (fractional coordinates):
Sb: 0.0007 0.4996 0.4996
Sb: 0.4996 0.0007 0.4996
Sb: 0.4996 0.4996 0.0007
Rh: 0.4994 0.4994 0.4994
Pb: 0.5045 0.9991 0.9991
Pb: 0.9981 0.9981 0.9981
Pb: 0.9991 0.5045 0.9991
Pb: 0.9991 0.9991 0.5045
O: 0.1240 0.1240 0.1240
O: 0.1713 0.5752 0.5752
O: 0.1805 0.1805 0.5726
O: 0.1805 0.5726 0.1805
O: 0.4219 0.4219 0.8322
O: 0.4219 0.8322 0.4219
O: 0.4258 0.8213 0.8213
O: 0.5726 0.1805 0.1805
O: 0.5752 0.1713 0.5752
O: 0.5752 0.5752 0.1713
O: 0.8213 0.4258 0.8213
O: 0.8213 0.8213 0.4258
O: 0.8322 0.4219 0.4219

Principal peaks in the range 10 to 90 degrees two-theta, by intensity:
| d_spacing | 2θ (°) | intensity |
| --- | --- | --- |
| 3.088 | 28.92 | 100.0 |
| 2.662 | 33.67 | 50.9 |
| 3.033 | 29.44 | 32.1 |
| 1.895 | 48.01 | 29.7 |
| 1.607 | 57.33 | 29.6 |
| 1.870 | 48.70 | 28.0 |

---

3.
For SnRhPbO6, a GGA-PBE-relaxed structure gives the calculated X-ray diffraction stick pattern in this record (a wavelength of 1.5418 Å).
Kinematic intensities with the Lorentz-polarization factor, no thermal factor.

Atomic structure:
a = 4.8210 Å, b = 4.8210 Å, c = 9.8839 Å
α = 90.00°, β = 90.00°, γ = 90.00°
Atoms (fractional coordinates):
Sn: 0.0000 0.0000 0.0000
Sn: 0.5000 0.5000 0.5000
Rh: 0.0000 0.0000 0.3342
Rh: 0.5000 0.5000 0.8342
Pb: 0.0000 0.0000 0.6672
Pb: 0.5000 0.5000 0.1672
O: 0.1804 0.1804 0.1718
O: 0.1928 0.1928 0.4886
O: 0.2064 0.2064 0.8407
O: 0.2936 0.7064 0.3407
O: 0.3072 0.6928 0.9886
O: 0.3196 0.6804 0.6718
O: 0.6804 0.3196 0.6718
O: 0.6928 0.3072 0.9886
O: 0.7064 0.2936 0.3407
O: 0.7936 0.7936 0.8407
O: 0.8072 0.8072 0.4886
O: 0.8196 0.8196 0.1718

Principal peaks in the range 10 to 90 degrees two-theta, by intensity:
| d_spacing | 2θ (°) | intensity |
| --- | --- | --- |
| 3.409 | 26.14 | 100.0 |
| 2.720 | 32.93 | 88.2 |
| 1.804 | 50.60 | 69.8 |
| 2.411 | 37.30 | 25.8 |
| 1.444 | 64.52 | 20.3 |
| 1.483 | 62.63 | 17.6 |

---

4.
For TcRhPb2O6, a GGA-PBE-relaxed structure gives the calculated X-ray diffraction stick pattern in this record (a wavelength of 1.5418 Å).
Kinematic intensities with the Lorentz-polarization factor, no thermal factor.

Atomic structure:
a = 10.0596 Å, b = 10.0596 Å, c = 10.0596 Å
α = 33.57°, β = 33.57°, γ = 33.57°
Atoms (fractional coordinates):
Tc: 0.0000 0.0000 0.0000
Tc: 0.5000 0.5000 0.5000
Rh: 0.0901 0.0901 0.0901
Rh: 0.9099 0.9099 0.9099
Pb: 0.2258 0.2258 0.2258
Pb: 0.3851 0.3851 0.3851
Pb: 0.6149 0.6149 0.6149
Pb: 0.7742 0.7742 0.7742
O: 0.1124 0.1124 0.6407
O: 0.1124 0.6407 0.1124
O: 0.2345 0.6970 0.6970
O: 0.3030 0.3030 0.7655
O: 0.3030 0.7655 0.3030
O: 0.3593 0.8876 0.8876
O: 0.6407 0.1124 0.1124
O: 0.6970 0.2345 0.6970
O: 0.6970 0.6970 0.2345
O: 0.7655 0.3030 0.3030
O: 0.8876 0.3593 0.8876
O: 0.8876 0.8876 0.3593

Principal peaks in the range 10 to 90 degrees two-theta, by intensity:
| d_spacing | 2θ (°) | intensity |
| --- | --- | --- |
| 2.905 | 30.78 | 100.0 |
| 1.677 | 54.73 | 26.0 |
| 3.162 | 28.22 | 24.9 |
| 2.477 | 36.27 | 23.5 |
| 3.769 | 23.60 | 16.1 |
| 2.007 | 45.18 | 15.3 |